1.
# Hf3Se
Theoretical X-ray diffraction stick pattern, Cu Kα X-rays. Input: a DFT-relaxed cell (GGA-PBE, Alexandria).
Peak positions follow from Bragg's law for the DFT cell and can differ from measured ones.

Structure:
Cell: 10.9827 10.9827 5.3433 Å, 90.00 90.00 90.00°
Space group I-4 (No. 82)
One atom of each set of equivalent atoms:
Hf1 0.0200 0.3610 0.4798 x8
Hf2 0.0852 0.8962 0.2817 x8
Hf3 0.1831 0.7833 0.7528 x8
Se1 0.0352 0.2893 0.9760 x8

Peak list (6 most intense, 2θ = 10–90°, by intensity)
2θ (°)  d (Å)  I (rel.)  hkl
37.74  2.384  100  4 1 1
33.87  2.646  93  2 3 1
35.54  2.526  49  1 1 2
34.65  2.589  33  3 3 0
36.59  2.456  33  2 4 0
60.15  1.538  29  3 5 2

***

2.
# La2Pr4Tl
Theoretical X-ray diffraction stick pattern, Cu Kα X-rays. Input: a DFT-relaxed cell (GGA-PBE, Alexandria).
Peak positions follow from Bragg's law for the DFT cell and can differ from measured ones.

Structure:
Cell: 6.4740 11.2139 6.6990 Å, 90.00 90.07 90.00°
Space group P2_1/c (No. 14)
One atom of each set of equivalent atoms:
La1 0.2441 0.0436 0.0020 x4
Pr1 0.0684 0.1542 0.5018 x4
Pr2 0.3928 0.7493 0.2507 x4
Tl1 0.5000 0.0000 0.5000 x2

Peak list (6 most intense, 2θ = 10–90°, by intensity)
2θ (°)  d (Å)  I (rel.)  hkl
31.10  2.875  100  0 2 2
31.72  2.821  98  2 1 1
30.67  2.915  70  1 3 -1
34.12  2.628  64  1 2 2
34.87  2.573  44  1 4 0
28.70  3.110  42  2 1 0

***

3.
# Tb3NdCd
Theoretical X-ray diffraction stick pattern, Cu Kα X-rays. Input: a DFT-relaxed cell (GGA-PBE, Alexandria).
Peak positions follow from Bragg's law for the DFT cell and can differ from measured ones.

Structure:
Cell: 3.5783 5.5805 15.5882 Å, 90.00 90.00 90.00°
Space group Imm2 (No. 44)
One atom of each set of equivalent atoms:
Tb1 0.0000 0.0000 0.0000 x2
Tb2 0.0000 0.0000 0.4285 x2
Tb3 0.0000 0.5000 0.1191 x2
Nd1 0.0000 0.5000 0.7147 x2
Cd1 0.0000 0.5000 0.3201 x2

Peak list (6 most intense, 2θ = 10–90°, by intensity)
2θ (°)  d (Å)  I (rel.)  hkl
31.85  2.810  100  1 1 2
32.91  2.722  85  0 1 5
32.08  2.790  50  0 2 0
30.33  2.947  39  1 0 3
62.08  1.495  27  2 1 5
44.73  2.026  27  1 2 3

***

4.
# La4Mn3
Theoretical X-ray diffraction stick pattern, Cu Kα X-rays. Input: a DFT-relaxed cell (GGA-PBE, Alexandria).
Peak positions follow from Bragg's law for the DFT cell and can differ from measured ones.

Structure:
Cell: 5.6185 5.6185 6.5405 Å, 90.00 90.00 120.00°
Space group P6/mmm (No. 191)
One atom of each set of equivalent atoms:
La1 0.0000 0.0000 0.2371 x2
La2 0.3333 0.6667 0.5000 x2
Mn1 0.0000 0.5000 0.0000 x3

Peak list (6 most intense, 2θ = 10–90°, by intensity)
2θ (°)  d (Å)  I (rel.)  hkl
33.00  2.714  100  1 0 2
31.85  2.809  62  1 1 0
57.49  1.603  40  2 1 2
34.75  2.581  38  1 1 1
39.52  2.280  30  2 0 1
53.18  1.722  19  1 1 3

***

5.
# K2Rb4Tl2Hg
Theoretical X-ray diffraction stick pattern, Cu Kα X-rays. Input: a DFT-relaxed cell (GGA-PBE, Alexandria).
Peak positions follow from Bragg's law for the DFT cell and can differ from measured ones.

Structure:
Cell: 4.6273 4.6273 30.1893 Å, 90.00 90.00 120.00°
Space group P3m1 (No. 156)
One atom of each set of equivalent atoms:
K1 0.0000 0.0000 0.0000 x1
K2 0.3333 0.6667 0.4073 x1
Rb1 0.0000 0.0000 0.2734 x1
Rb2 0.0000 0.0000 0.5423 x1
Rb3 0.3333 0.6667 0.1326 x1
Rb4 0.3333 0.6667 0.8661 x1
Tl1 0.0000 0.0000 0.6622 x1
Tl2 0.0000 0.0000 0.7778 x1
Hg1 0.3333 0.6667 0.7200 x1

Peak list (6 most intense, 2θ = 10–90°, by intensity)
2θ (°)  d (Å)  I (rel.)  hkl
32.59  2.747  100  1 0 8
22.18  4.007  89  1 0 0
30.45  2.936  79  0 1 7
38.93  2.314  74  1 1 0
22.38  3.972  54  0 1 1
34.88  2.572  52  1 0 9

***

6.
# Th2AlGa3Ni4
Theoretical X-ray diffraction stick pattern, Cu Kα X-rays. Input: a DFT-relaxed cell (GGA-PBE, Alexandria).
Peak positions follow from Bragg's law for the DFT cell and can differ from measured ones.

Structure:
Cell: 4.1606 4.1606 9.9168 Å, 90.00 90.00 90.00°
Space group P-4m2 (No. 115)
One atom of each set of equivalent atoms:
Th1 0.0000 0.5000 0.2453 x2
Al1 0.0000 0.0000 0.5000 x1
Ga1 0.0000 0.5000 0.8758 x2
Ga2 0.5000 0.5000 0.5000 x1
Ni1 0.0000 0.0000 0.0000 x1
Ni2 0.0000 0.5000 0.6340 x2
Ni3 0.5000 0.5000 0.0000 x1

Peak list (6 most intense, 2θ = 10–90°, by intensity)
2θ (°)  d (Å)  I (rel.)  hkl
35.48  2.530  100  1 1 2
34.66  2.588  88  1 0 3
43.50  2.080  54  2 0 0
56.78  1.621  43  2 1 3
30.38  2.942  38  1 1 0
23.18  3.837  37  1 0 1

***

What did the third record say?
# Tb3NdCd
Theoretical X-ray diffraction stick pattern, Cu Kα X-rays. Input: a DFT-relaxed cell (GGA-PBE, Alexandria).
Peak positions follow from Bragg's law for the DFT cell and can differ from measured ones.

Structure:
Cell: 3.5783 5.5805 15.5882 Å, 90.00 90.00 90.00°
Space group Imm2 (No. 44)
One atom of each set of equivalent atoms:
Tb1 0.0000 0.0000 0.0000 x2
Tb2 0.0000 0.0000 0.4285 x2
Tb3 0.0000 0.5000 0.1191 x2
Nd1 0.0000 0.5000 0.7147 x2
Cd1 0.0000 0.5000 0.3201 x2

Peak list (6 most intense, 2θ = 10–90°, by intensity)
2θ (°)  d (Å)  I (rel.)  hkl
31.85  2.810  100  1 1 2
32.91  2.722  85  0 1 5
32.08  2.790  50  0 2 0
30.33  2.947  39  1 0 3
62.08  1.495  27  2 1 5
44.73  2.026  27  1 2 3